# 1
Diffraction record for Sm6Tl2N. The X-ray diffraction stick pattern is theoretical, not measured: it uses a DFT-relaxed cell (GGA-PBE, Alexandria) and a wavelength of 1.5418 Å.

Structure:
```
data_Sm6Tl2N
_symmetry_space_group_name_H-M 'A m m 2'
_symmetry_Int_Tables_number 38
_cell_length_a 3.600
_cell_length_b 15.343
_cell_length_c 9.341
_cell_angle_alpha 90.00
_cell_angle_beta 90.00
_cell_angle_gamma 90.00
loop_
_symmetry_equiv_pos_as_xyz
'x,y,z'
'-x,-y,z'
'-x,y,z'
'x,-y,z'
'x,y+1/2,z+1/2'
'-x,-y+1/2,z+1/2'
'-x,y+1/2,z+1/2'
'x,-y+1/2,z+1/2'
loop_
_atom_site_label
_atom_site_type_symbol
_atom_site_fract_x
_atom_site_fract_y
_atom_site_fract_z
Sm1 Sm 0.000 0.000 0.000
Sm2 Sm 0.000 0.105 0.644
Sm3 Sm 0.500 0.000 0.342
Sm4 Sm 0.500 0.204 0.977
Tl1 Tl 0.000 0.173 0.266
N1 N 0.500 0.000 0.587
```

Main lines, most intense first (2θ from 15° to 90°):
| hkl | 2θ (°) | I (rel.) |
| --- | --- | --- |
| 1 3 1 | 31.87 | 100 |
| 1 2 2 | 33.53 | 72 |
| 0 5 1 | 30.67 | 59 |
| 0 1 3 | 29.27 | 58 |
| 1 0 2 | 31.37 | 45 |
| 0 4 2 | 30.15 | 34 |
| 0 3 3 | 33.70 | 24 |
| 1 6 4 | 59.42 | 23 |


# 2
Diffraction record for Sm2TmN3. The X-ray diffraction stick pattern is theoretical, not measured: it uses a DFT-relaxed cell (GGA-PBE, Alexandria) and a wavelength of 1.5418 Å.

Structure:
```
data_Sm2TmN3
_symmetry_space_group_name_H-M 'I 4/m m m'
_symmetry_Int_Tables_number 139
_symmetry_space_group_name_Hall '-I 4 2'
_cell_length_a 3.534
_cell_length_b 3.534
_cell_length_c 14.977
_cell_angle_alpha 90.00
_cell_angle_beta 90.00
_cell_angle_gamma 90.00
loop_
_atom_site_label
_atom_site_type_symbol
_atom_site_fract_x
_atom_site_fract_y
_atom_site_fract_z
Sm1 Sm 0.000 0.000 0.164
Tm1 Tm 0.000 0.000 0.500
N1 N 0.000 0.000 0.000
N2 N 0.000 0.000 0.339
```

Main lines, most intense first (2θ from 15° to 90°):
| hkl | 2θ (°) | I (rel.) |
| --- | --- | --- |
| 1 0 3 | 31.01 | 100 |
| 1 1 0 | 35.95 | 72 |
| 2 0 0 | 51.76 | 50 |
| 2 1 3 | 61.57 | 45 |
| 3 1 0 | 87.28 | 22 |
| 3 0 3 | 84.54 | 19 |
| 2 0 6 | 64.63 | 17 |
| 2 2 0 | 76.23 | 8 |


# 3
Diffraction record for SmTm2Zr3N6. The X-ray diffraction stick pattern is theoretical, not measured: it uses a DFT-relaxed cell (GGA-PBE, Alexandria) and a wavelength of 1.5418 Å.

Structure:
```
data_SmTm2Zr3N6
_symmetry_space_group_name_H-M 'C 1 2/m 1'
_symmetry_Int_Tables_number 12
_cell_length_a 5.793
_cell_length_b 10.019
_cell_length_c 5.836
_cell_angle_alpha 90.00
_cell_angle_beta 109.37
_cell_angle_gamma 90.00
loop_
_symmetry_equiv_pos_as_xyz
'x,y,z'
'-x,-y,-z'
'-x,y,-z'
'x,-y,z'
'x+1/2,y+1/2,z'
'-x+1/2,-y+1/2,-z'
'-x+1/2,y+1/2,-z'
'x+1/2,-y+1/2,z'
loop_
_atom_site_label
_atom_site_type_symbol
_atom_site_fract_x
_atom_site_fract_y
_atom_site_fract_z
Sm1 Sm 0.000 0.000 0.000
Tm1 Tm 0.000 0.333 0.000
Zr1 Zr 0.000 0.168 0.500
Zr2 Zr 0.000 0.500 0.500
N1 N 0.240 0.329 0.734
N2 N 0.246 0.500 0.266
```

Main lines, most intense first (2θ from 15° to 90°):
| hkl | 2θ (°) | I (rel.) |
| --- | --- | --- |
| 1 3 1 | 37.96 | 100 |
| 2 0 0 | 32.79 | 98 |
| 2 0 2 | 54.60 | 34 |
| 0 0 2 | 32.52 | 33 |
| 0 6 0 | 54.94 | 33 |
| 3 3 1 | 65.32 | 28 |
| 4 0 0 | 68.73 | 16 |
| 1 3 3 | 65.01 | 14 |


# 4
Diffraction record for Sm2WN3. The X-ray diffraction stick pattern is theoretical, not measured: it uses a DFT-relaxed cell (GGA-PBE, Alexandria) and a wavelength of 1.5418 Å.

Structure:
```
data_Sm2WN3
_symmetry_space_group_name_H-M 'I m m m'
_symmetry_Int_Tables_number 71
_symmetry_space_group_name_Hall '-I 2 2'
_cell_length_a 3.467
_cell_length_b 3.969
_cell_length_c 12.771
_cell_angle_alpha 90.00
_cell_angle_beta 90.00
_cell_angle_gamma 90.00
loop_
_atom_site_label
_atom_site_type_symbol
_atom_site_fract_x
_atom_site_fract_y
_atom_site_fract_z
Sm1 Sm 0.000 0.000 0.149
W1 W 0.000 0.000 0.500
N1 N 0.000 0.000 0.340
N2 N 0.000 0.500 0.500
```

Main lines, most intense first (2θ from 15° to 90°):
| hkl | 2θ (°) | I (rel.) |
| --- | --- | --- |
| 1 1 0 | 34.35 | 100 |
| 0 1 3 | 30.80 | 97 |
| 1 0 3 | 33.33 | 90 |
| 1 2 3 | 57.75 | 42 |
| 1 1 6 | 55.72 | 38 |
| 2 1 3 | 62.40 | 28 |
| 0 2 0 | 45.72 | 25 |
| 0 0 6 | 42.47 | 24 |


# 5
Diffraction record for Sn3N. The X-ray diffraction stick pattern is theoretical, not measured: it uses a DFT-relaxed cell (GGA-PBE, Alexandria) and a wavelength of 1.5418 Å.

Structure:
```
data_Sn3N
_symmetry_space_group_name_H-M 'P 63/m m c'
_symmetry_Int_Tables_number 194
_symmetry_space_group_name_Hall '-P 6c 2c'
_cell_length_a 6.1563
_cell_length_b 6.1563
_cell_length_c 5.3193
_cell_angle_alpha 90.00
_cell_angle_beta 90.00
_cell_angle_gamma 120.00
loop_
_atom_site_label
_atom_site_type_symbol
_atom_site_fract_x
_atom_site_fract_y
_atom_site_fract_z
Sn1 Sn 0.1715 0.3431 0.2500
N1 N 0.3333 0.6667 0.7500
```

Main lines, most intense first (2θ from 15° to 90°):
| hkl | 2θ (°) | I (rel.) |
| --- | --- | --- |
| 2 0 1 | 37.75 | 100 |
| 0 0 2 | 33.66 | 52 |
| 1 0 1 | 23.63 | 30 |
| 2 2 2 | 70.72 | 24 |
| 2 0 3 | 62.96 | 23 |
| 2 0 2 | 48.33 | 22 |
| 2 2 0 | 60.12 | 17 |
| 4 0 1 | 73.21 | 15 |


# 6
Diffraction record for SnN. The X-ray diffraction stick pattern is theoretical, not measured: it uses a DFT-relaxed cell (GGA-PBE, Alexandria) and a wavelength of 1.5418 Å.

Structure:
```
data_SnN
_symmetry_space_group_name_H-M 'P -1'
_symmetry_Int_Tables_number 2
_cell_length_a 3.191
_cell_length_b 3.330
_cell_length_c 11.305
_cell_angle_alpha 94.58
_cell_angle_beta 96.38
_cell_angle_gamma 99.91
loop_
_symmetry_equiv_pos_as_xyz
'x,y,z'
'-x,-y,-z'
loop_
_atom_site_label
_atom_site_type_symbol
_atom_site_fract_x
_atom_site_fract_y
_atom_site_fract_z
Sn1 Sn 0.200 0.213 0.392
N1 N 0.466 0.447 0.951
```

Main lines, most intense first (2θ from 15° to 90°):
| hkl | 2θ (°) | I (rel.) |
| --- | --- | --- |
| 1 0 2 | 34.67 | 100 |
| 0 1 -2 | 30.28 | 90 |
| 1 0 -2 | 31.02 | 78 |
| 0 1 1 | 29.27 | 75 |
| 1 0 1 | 30.73 | 74 |
| 1 -1 0 | 36.02 | 68 |
| 0 1 2 | 33.15 | 60 |
| 0 0 5 | 40.33 | 58 |